# 1
# Li3Nd2ScS6
Theoretical powder XRD pattern, copper Kα. Input: DFT lattice parameters and positions (PBE).
Kinematic intensities with the Lorentz-polarization factor, no thermal factor.

Cell and atoms:
```
Li3Nd2ScS6
1.0
3.4157 -5.9579 0.0000
3.4157 5.9579 0.0000
-2.1755 0.0000 6.1762
Li Nd Sc S
3 2 1 6
direct
0.0000 0.0000 0.0000
0.3520 0.6480 0.0000
0.6480 0.3520 0.0000
0.1682 0.8318 0.5000
0.8318 0.1682 0.5000
0.5000 0.5000 0.5000
0.1090 0.4192 0.2492
0.2650 0.2650 0.7466
0.4192 0.1090 0.2492
0.5808 0.8910 0.7508
0.7350 0.7350 0.2534
0.8910 0.5808 0.7508
```

Peak list (6 most intense, 2θ from 15° to 90°, low angle first)
Position (°2θ)  d/Å  I (rel.)
26.36  3.381  56
26.62  3.349  30
32.33  2.769  100
32.84  2.728  48
45.94  1.975  35
47.54  1.913  32

# 2
# LiNdSn2S4
Theoretical powder XRD pattern, copper Kα. Input: DFT lattice parameters and positions (PBE).
Kinematic intensities with the Lorentz-polarization factor, no thermal factor.

Cell and atoms:
```
LiNdSn2S4
1.0
6.9013 0.0000 0.0000
0.0000 4.0883 0.0000
-2.2966 0.0000 6.7984
Li Nd Sn S
1 1 2 4
direct
0.0000 0.0000 0.0000
0.5000 0.5000 0.0000
0.0000 0.5000 0.5000
0.5000 0.0000 0.5000
0.2469 0.5000 0.2390
0.2510 0.0000 0.7643
0.7490 0.0000 0.2357
0.7531 0.5000 0.7610
```

Peak list (6 most intense, 2θ from 15° to 90°, low angle first)
Position (°2θ)  d/Å  I (rel.)
26.21  3.400  20
26.81  3.325  33
30.88  2.896  100
31.31  2.857  48
43.87  2.064  37
45.23  2.005  34